[1]
For HoAsSe, a DFT-relaxed cell (GGA-PBE, the Materials Project) gives the simulated XRD peak list in this record (Cu Kα (weighted mean of Kα1 and Kα2)).

Structural model:
```
data_HoAsSe
_chemical_formula_sum 'Ho4 As4 Se4'
_space_group_name_H-M_alt 'P n m a'
_space_group_IT_number 62
_cell_length_a 17.5231
_cell_length_b 3.8992
_cell_length_c 3.9176
_cell_angle_alpha 90.00
_cell_angle_beta 90.00
_cell_angle_gamma 90.00
loop_
_space_group_symop_operation_xyz
'x,y,z'
'-x,-y,-z'
'-x+1/2,-y,z+1/2'
'x+1/2,y,-z+1/2'
'x+1/2,-y+1/2,-z+1/2'
'-x+1/2,y+1/2,z+1/2'
'-x,y+1/2,-z'
'x,-y+1/2,z'
loop_
_atom_site_label
_atom_site_fract_x
_atom_site_fract_y
_atom_site_fract_z
Ho1 0.1392 0.2500 0.2405
As1 0.0010 0.2500 0.7195
Se1 0.1878 0.7500 0.7424
```

Peak list (10 most intense, 2θ = 15–90°, sorted by position)
24.9°, d = 3.569 Å, intensity 36; 30.6°, d = 2.920 Å, intensity 25; 32.4°, d = 2.764 Å, intensity 24; 34.0°, d = 2.636 Å, intensity 40; 38.5°, d = 2.338 Å, intensity 100; 46.4°, d = 1.959 Å, intensity 16; 46.6°, d = 1.950 Å, intensity 16; 61.8°, d = 1.501 Å, intensity 10; 61.9°, d = 1.498 Å, intensity 11; 68.6°, d = 1.368 Å, intensity 12


[2]
For NaCa2Mg5AlSi7O22F2, a DFT-relaxed cell (GGA-PBE, the Materials Project) gives the simulated XRD peak list in this record (Cu Kα (weighted mean of Kα1 and Kα2)).

Structural model:
```
data_NaCa2Mg5AlSi7O22F2
_chemical_formula_sum 'Na1 Ca2 Mg5 Al1 Si7 O22 F2'
_space_group_name_H-M_alt 'P 1'
_space_group_IT_number 1
_cell_length_a 5.3328
_cell_length_b 9.9811
_cell_length_c 10.3689
_cell_angle_alpha 61.36
_cell_angle_beta 82.88
_cell_angle_gamma 75.19
loop_
_space_group_symop_operation_xyz
'x,y,z'
loop_
_atom_site_label
_atom_site_fract_x
_atom_site_fract_y
_atom_site_fract_z
Na1 0.0000 0.0000 0.0000
Ca1 0.4940 0.7802 0.4558
Ca2 0.5065 0.2123 0.5690
Mg1 0.4961 0.4162 0.1845
Mg2 0.4971 0.5967 0.8285
Mg3 0.9918 0.5064 0.0055
Mg4 0.9929 0.6833 0.6565
Mg5 0.9974 0.3262 0.3627
Al1 0.6952 0.8687 0.8386
Si1 0.1853 0.9703 0.6611
Si2 0.1925 0.6175 0.3533
Si3 0.2937 0.1431 0.1744
Si4 0.2964 0.3095 0.8397
Si5 0.6997 0.6995 0.1777
Si6 0.8005 0.0462 0.3474
Si7 0.8007 0.3863 0.6653
O1 0.0954 0.0258 0.2706
O2 0.0952 0.2919 0.7425
O3 0.2046 0.6209 0.5056
O4 0.2136 0.3097 0.1754
O5 0.2153 0.1170 0.5019
O6 0.2236 0.4769 0.8382
O7 0.2696 0.7981 0.6628
O8 0.2722 0.4505 0.3497
O9 0.2810 0.1643 0.0069
O10 0.3813 0.9747 0.7710
O11 0.4013 0.7291 0.2432
O12 0.5897 0.0461 0.2373
O13 0.5923 0.2749 0.7766
O14 0.7181 0.8458 0.0168
O15 0.7192 0.5559 0.6636
O16 0.7219 0.2152 0.3471
O17 0.7771 0.5299 0.1798
O18 0.7830 0.6905 0.8361
O19 0.7878 0.3826 0.5141
O20 0.7892 0.8908 0.4982
O21 0.8887 0.0011 0.7249
O22 0.8938 0.7114 0.2835
F1 0.2843 0.6043 0.0089
F2 0.7093 0.3952 0.0123
```

Peak list (10 most intense, 2θ = 15–90°, sorted by position)
26.1°, d = 3.414 Å, intensity 83; 26.9°, d = 3.310 Å, intensity 60; 28.2°, d = 3.167 Å, intensity 64; 30.1°, d = 2.971 Å, intensity 75; 32.4°, d = 2.767 Å, intensity 39; 32.8°, d = 2.731 Å, intensity 100; 34.3°, d = 2.614 Å, intensity 52; 35.0°, d = 2.562 Å, intensity 74; 38.1°, d = 2.364 Å, intensity 36; 60.6°, d = 1.528 Å, intensity 32


[3]
For La2Ta2O9, a DFT-relaxed cell (GGA-PBE, the Materials Project) gives the simulated XRD peak list in this record (Cu Kα (weighted mean of Kα1 and Kα2)).

Structural model:
```
data_La2Ta2O9
_chemical_formula_sum 'La4 Ta4 O18'
_space_group_name_H-M_alt 'C 1 2/m 1'
_space_group_IT_number 12
_cell_length_a 15.7564
_cell_length_b 3.9236
_cell_length_c 6.7915
_cell_angle_alpha 90.00
_cell_angle_beta 112.32
_cell_angle_gamma 90.00
loop_
_space_group_symop_operation_xyz
'x,y,z'
'-x,-y,-z'
'-x,y,-z'
'x,-y,z'
'x+1/2,y+1/2,z'
'-x+1/2,-y+1/2,-z'
'-x+1/2,y+1/2,-z'
'x+1/2,-y+1/2,z'
loop_
_atom_site_label
_atom_site_fract_x
_atom_site_fract_y
_atom_site_fract_z
La1 0.1951 0.0000 0.1865
Ta1 0.0381 0.5000 0.8040
O1 0.0000 0.5000 0.5000
O2 0.0467 0.0000 0.8369
O3 0.0793 0.5000 0.1550
O4 0.1742 0.5000 0.9192
O5 0.2216 0.0000 0.5636
```

Peak list (10 most intense, 2θ = 15–90°, sorted by position)
23.1°, d = 3.850 Å, intensity 82; 23.5°, d = 3.789 Å, intensity 56; 28.4°, d = 3.141 Å, intensity 43; 28.7°, d = 3.112 Å, intensity 63; 29.3°, d = 3.052 Å, intensity 100; 29.7°, d = 3.011 Å, intensity 57; 32.8°, d = 2.734 Å, intensity 45; 35.3°, d = 2.545 Å, intensity 50; 46.3°, d = 1.961 Å, intensity 78; 46.6°, d = 1.950 Å, intensity 31


[4]
For HgPdF4, a DFT-relaxed cell (GGA-PBE, the Materials Project) gives the simulated XRD peak list in this record (Cu Kα (weighted mean of Kα1 and Kα2)).

Structural model:
```
data_HgPdF4
_chemical_formula_sum 'Hg2 Pd2 F8'
_space_group_name_H-M_alt 'P 1 21/c 1'
_space_group_IT_number 14
_cell_length_a 5.6374
_cell_length_b 5.5727
_cell_length_c 5.5743
_cell_angle_alpha 90.00
_cell_angle_beta 90.53
_cell_angle_gamma 90.00
loop_
_space_group_symop_operation_xyz
'x,y,z'
'-x,-y,-z'
'-x,y+1/2,-z+1/2'
'x,-y+1/2,z+1/2'
loop_
_atom_site_label
_atom_site_fract_x
_atom_site_fract_y
_atom_site_fract_z
Hg1 0.0000 0.0000 0.0000
Pd1 0.5000 0.0000 0.5000
F1 0.1708 0.1544 0.3536
F2 0.3465 0.6718 0.3242
```

Peak list (10 most intense, 2θ = 15–90°, sorted by position)
27.5°, d = 3.240 Å, intensity 100; 27.7°, d = 3.220 Å, intensity 96; 31.7°, d = 2.819 Å, intensity 29; 32.1°, d = 2.787 Å, intensity 56; 45.8°, d = 1.982 Å, intensity 30; 46.0°, d = 1.971 Å, intensity 44; 53.9°, d = 1.700 Å, intensity 18; 54.2°, d = 1.692 Å, intensity 19; 54.4°, d = 1.687 Å, intensity 19; 54.6°, d = 1.682 Å, intensity 36